Record 1
Diffraction record for RbSb12Rh4. The powder X-ray diffraction pattern is calculated, not measured: it uses a crystal structure in Alexandria, relaxed with PBE and λ = 1.5418 Å (Cu Kα).
Intensities are scaled so that the largest is 1000.

Largest 12 diffraction maxima, sorted by position, 2θ from 15° to 90°:
2θ 29.88, d = 2.990 Å, intensity 1000; 2θ 35.52, d = 2.527 Å, intensity 381; 2θ 42.77, d = 2.114 Å, intensity 295; 2θ 44.97, d = 2.016 Å, intensity 71; 2θ 47.08, d = 1.930 Å, intensity 296; 2θ 49.13, d = 1.854 Å, intensity 295; 2θ 56.77, d = 1.622 Å, intensity 118; 2θ 67.14, d = 1.394 Å, intensity 170; 2θ 68.79, d = 1.365 Å, intensity 64; 2θ 76.77, d = 1.242 Å, intensity 95; 2θ 87.55, d = 1.114 Å, intensity 142; 2θ 89.07, d = 1.099 Å, intensity 103

Crystal structure
```
RbSb12Rh4
1.0
-4.728 4.728 4.728
4.728 -4.728 4.728
4.728 4.728 -4.728
Rb Sb Rh
1 12 4
Cartesian
0.000 0.000 0.000
3.250 1.488 0.000
6.205 1.488 0.000
4.728 -1.478 3.240
3.240 4.728 -1.478
1.488 0.000 3.250
4.728 1.478 3.240
0.000 3.250 1.488
3.240 4.728 1.478
1.488 0.000 6.205
0.000 6.205 1.488
-1.478 3.240 4.728
1.478 3.240 4.728
2.364 2.364 -2.364
2.364 -2.364 2.364
-2.364 2.364 2.364
2.364 2.364 2.364
```

=====

Record 2
Diffraction record for RbSi2Rh. The powder X-ray diffraction pattern is calculated, not measured: it uses a crystal structure in Alexandria, relaxed with PBE and λ = 1.5418 Å (Cu Kα).
Intensities are scaled so that the largest is 1000.

Largest 12 diffraction maxima, sorted by position, 2θ from 15° to 90°:
2θ 16.14, d = 5.490 Å, intensity 154; 2θ 24.86, d = 3.582 Å, intensity 1000; 2θ 27.16, d = 3.284 Å, intensity 96; 2θ 29.56, d = 3.022 Å, intensity 320; 2θ 40.57, d = 2.224 Å, intensity 266; 2θ 46.62, d = 1.948 Å, intensity 177; 2θ 49.68, d = 1.835 Å, intensity 293; 2θ 50.99, d = 1.791 Å, intensity 233; 2θ 64.60, d = 1.443 Å, intensity 66; 2θ 64.75, d = 1.440 Å, intensity 131; 2θ 76.17, d = 1.250 Å, intensity 82; 2θ 82.74, d = 1.166 Å, intensity 66

Crystal structure
```
RbSi2Rh
1.0
-3.022 3.022 6.567
3.022 -3.022 6.567
3.022 3.022 -6.567
Rb Si Rh
2 4 2
Cartesian
3.022 1.511 1.642
0.000 1.511 4.926
0.000 0.000 0.000
1.511 1.511 -3.284
1.511 -1.511 3.284
0.000 3.022 0.000
3.022 -1.511 4.926
0.000 4.533 1.642
```

=====

Record 3
Diffraction record for RbTl4Rh. The powder X-ray diffraction pattern is calculated, not measured: it uses a crystal structure in Alexandria, relaxed with PBE and λ = 1.5418 Å (Cu Kα).
Intensities are scaled so that the largest is 1000.

Largest 12 diffraction maxima, sorted by position, 2θ from 15° to 90°:
2θ 16.71, d = 5.306 Å, intensity 828; 2θ 25.98, d = 3.430 Å, intensity 1000; 2θ 31.71, d = 2.822 Å, intensity 325; 2θ 31.87, d = 2.808 Å, intensity 427; 2θ 33.78, d = 2.653 Å, intensity 840; 2θ 36.05, d = 2.491 Å, intensity 479; 2θ 37.92, d = 2.373 Å, intensity 220; 2θ 47.01, d = 1.933 Å, intensity 445; 2θ 48.53, d = 1.876 Å, intensity 307; 2θ 50.24, d = 1.816 Å, intensity 375; 2θ 55.86, d = 1.646 Å, intensity 250; 2θ 59.18, d = 1.561 Å, intensity 382

Crystal structure
```
RbTl4Rh
1.0
5.306 0.000 0.000
0.000 5.306 0.000
0.000 0.000 8.465
Rb Tl Rh
1 4 1
Cartesian
0.000 0.000 0.000
0.000 2.653 4.233
2.653 0.000 4.233
2.653 2.653 1.532
2.653 2.653 6.933
2.653 2.653 4.233
```

=====

Record 4
Diffraction record for RbTl3Rh. The powder X-ray diffraction pattern is calculated, not measured: it uses a crystal structure in Alexandria, relaxed with PBE and λ = 1.5418 Å (Cu Kα).
Intensities are scaled so that the largest is 1000.

Largest 12 diffraction maxima, sorted by position, 2θ from 15° to 90°:
2θ 26.83, d = 3.322 Å, intensity 136; 2θ 29.90, d = 2.988 Å, intensity 1000; 2θ 30.68, d = 2.914 Å, intensity 204; 2θ 31.47, d = 2.842 Å, intensity 188; 2θ 34.81, d = 2.578 Å, intensity 104; 2θ 37.53, d = 2.397 Å, intensity 101; 2θ 41.20, d = 2.191 Å, intensity 218; 2θ 43.76, d = 2.069 Å, intensity 139; 2θ 44.35, d = 2.043 Å, intensity 120; 2θ 54.06, d = 1.696 Å, intensity 194; 2θ 62.13, d = 1.494 Å, intensity 104; 2θ 69.00, d = 1.361 Å, intensity 79

Crystal structure
```
RbTl3Rh
1.0
-2.914 8.170 3.322
2.914 -8.170 3.322
2.914 8.170 -3.322
Rb Tl Rh
2 6 2
Cartesian
0.000 0.000 0.000
0.000 8.170 0.000
2.914 -4.085 2.597
2.914 2.222 0.165
2.914 5.948 0.165
0.000 2.222 3.158
0.000 5.948 3.158
0.000 12.255 0.725
-1.457 4.085 1.661
1.457 4.085 1.661
```

=====

Record 5
Diffraction record for RbSn2Ru. The powder X-ray diffraction pattern is calculated, not measured: it uses a crystal structure in Alexandria, relaxed with PBE and λ = 1.5418 Å (Cu Kα).
Intensities are scaled so that the largest is 1000.

Largest 12 diffraction maxima, sorted by position, 2θ from 15° to 90°:
2θ 22.13, d = 4.017 Å, intensity 1000; 2θ 22.51, d = 3.950 Å, intensity 305; 2θ 26.15, d = 3.408 Å, intensity 330; 2θ 28.94, d = 3.085 Å, intensity 816; 2θ 29.95, d = 2.983 Å, intensity 305; 2θ 34.77, d = 2.580 Å, intensity 306; 2θ 36.13, d = 2.486 Å, intensity 278; 2θ 43.81, d = 2.066 Å, intensity 319; 2θ 45.14, d = 2.008 Å, intensity 776; 2θ 45.95, d = 1.975 Å, intensity 237; 2θ 53.81, d = 1.704 Å, intensity 232; 2θ 62.25, d = 1.491 Å, intensity 197

Crystal structure
```
RbSn2Ru
1.0
-3.408 3.408 7.270
3.408 -3.408 7.270
3.408 3.408 -7.270
Rb Sn Ru
2 4 2
Cartesian
3.408 1.704 1.818
0.000 1.704 5.453
0.000 0.000 0.000
1.704 1.704 -3.635
1.704 -1.704 3.635
0.000 3.408 0.000
3.408 -1.704 5.453
0.000 5.111 1.818
```

=====

Record 6
Diffraction record for RbS. The powder X-ray diffraction pattern is calculated, not measured: it uses a crystal structure in Alexandria, relaxed with PBE and λ = 1.5418 Å (Cu Kα).
Intensities are scaled so that the largest is 1000.

Largest 12 diffraction maxima, sorted by position, 2θ from 15° to 90°:
2θ 24.55, d = 3.626 Å, intensity 1000; 2θ 27.16, d = 3.283 Å, intensity 494; 2θ 28.03, d = 3.184 Å, intensity 145; 2θ 30.17, d = 2.962 Å, intensity 559; 2θ 31.08, d = 2.878 Å, intensity 179; 2θ 33.62, d = 2.666 Å, intensity 165; 2θ 34.49, d = 2.600 Å, intensity 229; 2θ 35.45, d = 2.532 Å, intensity 163; 2θ 41.54, d = 2.174 Å, intensity 241; 2θ 44.81, d = 2.023 Å, intensity 120; 2θ 45.80, d = 1.981 Å, intensity 143; 2θ 46.45, d = 1.955 Å, intensity 147

Crystal structure
```
RbS
1.0
5.331 0.000 0.000
0.000 8.896 0.000
0.000 0.000 11.907
Rb S
8 8
Cartesian
0.321 1.011 5.251
0.360 6.784 7.911
2.306 2.113 1.958
2.345 7.886 11.205
2.986 3.438 6.656
3.025 6.561 3.996
4.971 2.336 9.950
5.010 5.459 0.702
0.312 4.741 5.267
0.514 8.164 2.358
2.152 0.732 8.312
2.353 4.155 11.221
2.978 8.603 6.640
3.179 5.180 9.549
4.817 3.716 3.595
5.019 0.293 0.686
```